The following is a theoretical X-ray powder pattern of BaGe2IrS8. It was derived from a crystal structure in Alexandria, relaxed with PBE, using CuKα.
Peak positions follow from Bragg's law for the DFT cell and can differ from measured ones.

Principal peaks in the range 10° ≤ 2θ ≤ 80°, low angle first:
hkl 1 0 0, 2θ = 17.22°, I = 53
hkl 0 1 1, 2θ = 19.89°, I = 41
hkl 0 1 2, 2θ = 26.39°, I = 100
hkl 1 1 0, 2θ = 30.06°, I = 56
hkl 2 -1 2, 2θ = 36.29°, I = 48
hkl 1 1 4, 2θ = 51.09°, I = 38

Crystal structure
```
BaGe2IrS8
1.0
5.946 0.000 0.000
-2.973 5.149 0.000
0.000 0.000 8.949
Ba Ge Ir S
1 2 1 8
Cartesian
0.000 0.000 0.000
0.000 3.433 6.414
2.973 1.716 2.535
0.000 0.000 4.474
-1.861 3.626 3.054
0.763 1.725 3.054
0.000 3.433 8.618
1.875 0.202 5.895
1.098 4.948 3.054
2.973 1.716 0.331
2.210 3.425 5.895
4.834 1.523 5.895
```